No. 1
Starting from a GGA-PBE-relaxed structure, the X-ray powder pattern of BaLaTiCuO6 was calculated for λ = 1.5418 Å (Cu Kα).
Neutral-atom scattering factors, no anomalous dispersion.

Cell and atoms:
```
BaLaTiCuO6
1.0
0.000 3.974 3.974
3.974 0.000 3.974
3.974 3.974 0.000
Ba La Ti Cu O
1 1 1 1 6
direct
0.000 0.000 0.000 Ba
0.500 0.500 0.500 La
0.750 0.750 0.750 Ti
0.250 0.250 0.250 Cu
0.503 0.503 0.997 O
0.503 0.997 0.503 O
0.503 0.997 0.997 O
0.997 0.503 0.503 O
0.997 0.503 0.997 O
0.997 0.997 0.503 O
```

Principal peaks in the range 2θ = 5–70°, sorted by position:
Position (°2θ), intensity
19.3, 1
22.4, 13
31.8, 100
37.5, 1
39.3, 19
45.7, 33
51.4, 7
56.7, 38
66.6, 20

No. 2
Starting from a GGA-PBE-relaxed structure, the X-ray powder pattern of Ba2LaTlCu2O7 was calculated for λ = 1.5418 Å (Cu Kα).
Neutral-atom scattering factors, no anomalous dispersion.

Cell and atoms:
```
Ba2LaTlCu2O7
1.0
3.946 0.000 0.000
0.000 12.854 0.000
0.000 0.000 3.975
Ba La Tl Cu O
2 1 1 2 7
direct
0.000 0.204 0.000 Ba
0.000 0.796 0.000 Ba
0.000 0.500 0.996 La
0.500 0.000 0.566 Tl
0.500 0.360 0.496 Cu
0.500 0.640 0.496 Cu
0.000 0.000 0.882 O
0.000 0.377 0.498 O
0.000 0.623 0.498 O
0.500 0.166 0.487 O
0.500 0.377 0.996 O
0.500 0.623 0.996 O
0.500 0.834 0.487 O
```

Principal peaks in the range 2θ = 5–70°, sorted by position:
Position (°2θ), intensity
30.7, 81
30.8, 82
32.0, 100
34.9, 19
42.8, 24
45.6, 22
46.0, 26
53.9, 27
56.1, 28
56.3, 30

No. 3
Starting from a GGA-PBE-relaxed structure, the X-ray powder pattern of BaLaCuS3 was calculated for λ = 1.5418 Å (Cu Kα).
Neutral-atom scattering factors, no anomalous dispersion.

Cell and atoms:
```
BaLaCuS3
1.0
11.353 0.000 0.000
0.000 4.258 0.000
0.000 0.000 11.893
Ba La Cu S
4 4 4 12
direct
0.183 0.250 0.008 Ba
0.317 0.750 0.508 Ba
0.683 0.250 0.492 Ba
0.817 0.750 0.992 Ba
0.010 0.250 0.682 La
0.490 0.750 0.182 La
0.510 0.250 0.818 La
0.990 0.750 0.318 La
0.248 0.750 0.792 Cu
0.252 0.250 0.292 Cu
0.748 0.750 0.708 Cu
0.752 0.250 0.208 Cu
0.051 0.750 0.849 S
0.111 0.250 0.440 S
0.225 0.750 0.204 S
0.275 0.250 0.704 S
0.389 0.750 0.940 S
0.449 0.250 0.349 S
0.551 0.750 0.651 S
0.611 0.250 0.060 S
0.725 0.750 0.296 S
0.775 0.250 0.796 S
0.889 0.750 0.560 S
0.949 0.250 0.151 S
```

Principal peaks in the range 2θ = 5–70°, sorted by position:
Position (°2θ), intensity
23.8, 47
24.7, 58
26.9, 53
27.2, 70
30.2, 45
31.8, 100
35.0, 41
37.7, 41
41.1, 32
42.5, 51

No. 4
Starting from a GGA-PBE-relaxed structure, the X-ray powder pattern of BaLaCuSe3 was calculated for λ = 1.5418 Å (Cu Kα).
Neutral-atom scattering factors, no anomalous dispersion.

Cell and atoms:
```
BaLaCuSe3
1.0
11.247 0.000 0.000
0.000 4.310 0.000
0.000 0.000 14.032
Ba La Cu Se
4 4 4 12
direct
0.228 0.250 0.004 Ba
0.272 0.750 0.504 Ba
0.728 0.250 0.496 Ba
0.772 0.750 0.996 Ba
0.010 0.750 0.260 La
0.490 0.250 0.760 La
0.510 0.750 0.240 La
0.990 0.250 0.740 La
0.241 0.750 0.783 Cu
0.259 0.250 0.283 Cu
0.741 0.750 0.717 Cu
0.759 0.250 0.217 Cu
0.058 0.750 0.882 Se
0.088 0.250 0.394 Se
0.245 0.250 0.682 Se
0.255 0.750 0.182 Se
0.412 0.750 0.894 Se
0.442 0.250 0.382 Se
0.558 0.750 0.618 Se
0.588 0.250 0.106 Se
0.745 0.250 0.818 Se
0.755 0.750 0.318 Se
0.912 0.750 0.606 Se
0.942 0.250 0.118 Se
```

Principal peaks in the range 2θ = 5–70°, sorted by position:
Position (°2θ), intensity
20.2, 27
27.0, 28
28.2, 43
29.3, 100
31.8, 32
32.3, 34
32.4, 56
41.6, 33
41.9, 67
49.7, 24

No. 5
Starting from a GGA-PBE-relaxed structure, the X-ray powder pattern of Ba2LiCu3O6 was calculated for λ = 1.5418 Å (Cu Kα).
Neutral-atom scattering factors, no anomalous dispersion.

Cell and atoms:
```
Ba2LiCu3O6
1.0
0.000 5.782 7.118
4.168 0.000 7.118
4.168 5.782 0.000
Ba Li Cu O
4 2 6 12
direct
0.230 0.770 0.230 Ba
0.250 0.250 0.250 Ba
0.750 0.750 0.750 Ba
0.770 0.230 0.770 Ba
0.334 0.334 0.666 Li
0.666 0.666 0.334 Li
0.004 0.690 0.996 Cu
0.310 0.996 0.690 Cu
0.321 0.679 0.679 Cu
0.679 0.321 0.321 Cu
0.690 0.004 0.310 Cu
0.996 0.310 0.004 Cu
0.078 0.306 0.694 O
0.103 0.705 0.677 O
0.295 0.897 0.485 O
0.306 0.078 0.922 O
0.323 0.485 0.897 O
0.485 0.323 0.295 O
0.515 0.677 0.705 O
0.677 0.515 0.103 O
0.694 0.922 0.078 O
0.705 0.103 0.515 O
0.897 0.295 0.323 O
0.922 0.694 0.306 O
```

Principal peaks in the range 2θ = 5–70°, sorted by position:
Position (°2θ), intensity
22.9, 22
24.8, 32
29.2, 100
29.5, 54
30.9, 33
38.3, 20
40.0, 33
46.3, 21
46.8, 35
55.2, 18

No. 6
Starting from a GGA-PBE-relaxed structure, the X-ray powder pattern of Ba4LiY2Cu5O14 was calculated for λ = 1.5418 Å (Cu Kα).
Neutral-atom scattering factors, no anomalous dispersion.

Cell and atoms:
```
Ba4LiY2Cu5O14
1.0
3.858 -3.925 0.000
3.858 3.925 0.000
-3.854 0.000 11.899
Ba Li Y Cu O
4 1 2 5 14
direct
0.249 0.751 0.000 Ba
0.437 0.937 0.369 Ba
0.751 0.249 0.000 Ba
0.937 0.437 0.369 Ba
0.512 0.512 0.519 Li
0.093 0.591 0.679 Y
0.591 0.093 0.679 Y
0.030 0.030 0.554 Cu
0.165 0.165 0.829 Cu
0.343 0.343 0.185 Cu
0.665 0.665 0.828 Cu
0.842 0.842 0.182 Cu
0.106 0.605 0.183 O
0.260 0.260 0.027 O
0.273 0.795 0.563 O
0.276 0.276 0.563 O
0.404 0.404 0.805 O
0.405 0.904 0.803 O
0.420 0.420 0.343 O
0.605 0.106 0.183 O
0.759 0.759 0.025 O
0.792 0.792 0.564 O
0.795 0.273 0.563 O
0.903 0.903 0.805 O
0.904 0.405 0.803 O
0.919 0.919 0.337 O
```

Principal peaks in the range 2θ = 5–70°, sorted by position:
Position (°2θ), intensity
32.1, 89
32.4, 100
32.5, 97
39.9, 34
46.3, 31
47.1, 29
57.3, 31
57.6, 37
58.1, 32
68.2, 18